Diffraction record for Nd3ErSn2. The powder diffraction line list is computed, not measured: it uses the PBE geometry in Alexandria and a wavelength of 1.5418 Å.
No peak broadening, texture or thermal motion is included.

Main lines, low angle first (2θ = 10–80°):
(1 1 1), 2θ = 29.12°, intensity 100; (0 0 3), 2θ = 30.76°, intensity 40; (1 1 2), 2θ = 34.23°, intensity 98; (2 0 0), 2θ = 38.88°, intensity 61; (2 0 3), 2θ = 50.37°, intensity 40; (3 1 2), 2θ = 67.43°, intensity 28

Crystal structure
```
Nd3ErSn2
1.0
4.633 0.000 0.000
0.000 4.633 0.000
0.000 0.000 8.721
Nd Er Sn
3 1 2
direct
0.000 0.000 0.000
0.000 0.500 0.651
0.500 0.000 0.349
0.500 0.500 0.000
0.000 0.500 0.276
0.500 0.000 0.724
```